Entry 1:
This entry pairs a crystal structure of Li8MnFe7B8O24 with its computed X-ray powder pattern. Radiation: a wavelength of 1.5418 Å. Structure: DFT lattice parameters and positions (PBE+U).
Neutral-atom scattering factors, no anomalous dispersion.

Top 8 peaks for 10 to 90 degrees two-theta, by angle:
2θ/deg, d [Å], Rel. int., index
19.59, 4.531, 72, 1 -1 0
21.39, 4.153, 37, 1 -1 1
21.61, 4.112, 68, 1 1 -2
25.83, 3.449, 44, 0 2 1
34.22, 2.621, 28, 1 -3 1
34.34, 2.612, 59, 2 0 -1
34.64, 2.589, 100, 0 0 4
40.71, 2.216, 44, 2 2 -1

Crystal structure
Cell lengths 5.2238, 9.0710, 11.4761 Å; angles 111.89, 102.37, 90.20 degrees
Space group P1 (No. 1)
Inequivalent atoms, fractional coordinates:
Li: 0.0000 0.0000 0.0000 [1 per cell]
Li: 0.0328 0.0329 0.7474 [1 per cell]
Li: 0.2190 0.2573 0.4985 [1 per cell]
Li: 0.2571 0.2866 0.2487 [1 per cell]
Li: 0.5001 0.5005 0.9989 [1 per cell]
Li: 0.5333 0.5354 0.7467 [1 per cell]
Li: 0.7201 0.7545 0.4945 [1 per cell]
Li: 0.7556 0.7881 0.2468 [1 per cell]
Mn: 0.2159 0.9043 0.4641 [1 per cell]
Fe: 0.0137 0.6915 0.7155 [1 per cell]
Fe: 0.2371 0.6011 0.2078 [1 per cell]
Fe: 0.4811 0.8188 0.9629 [1 per cell]
Fe: 0.5055 0.1950 0.7154 [1 per cell]
Fe: 0.7184 0.4093 0.4662 [1 per cell]
Fe: 0.7433 0.1082 0.2141 [1 per cell]
Fe: 0.9793 0.3163 0.9610 [1 per cell]
B: 0.0035 0.3549 0.7089 [1 per cell]
B: 0.2149 0.5626 0.4559 [1 per cell]
B: 0.2511 0.9337 0.2048 [1 per cell]
B: 0.4689 0.1494 0.9579 [1 per cell]
B: 0.5070 0.8534 0.7074 [1 per cell]
B: 0.7096 0.0681 0.4586 [1 per cell]
B: 0.7494 0.4350 0.2058 [1 per cell]
B: 0.9677 0.6492 0.9561 [1 per cell]
O: 0.0730 0.7695 0.9267 [1 per cell]
O: 0.1236 0.0616 0.1918 [1 per cell]
O: 0.1299 0.5455 0.9937 [1 per cell]
O: 0.1361 0.8284 0.2459 [1 per cell]
O: 0.1992 0.1320 0.9468 [1 per cell]
O: 0.2615 0.3588 0.6960 [1 per cell]
O: 0.3221 0.4197 0.4459 [1 per cell]
O: 0.3421 0.6734 0.4248 [1 per cell]
O: 0.3456 0.9648 0.6806 [1 per cell]
O: 0.4088 0.7412 0.7473 [1 per cell]
O: 0.4766 0.1021 0.5002 [1 per cell]
O: 0.4990 0.9073 0.1750 [1 per cell]
O: 0.5735 0.2700 0.9284 [1 per cell]
O: 0.6252 0.5629 0.1908 [1 per cell]
O: 0.6316 0.0457 0.9949 [1 per cell]
O: 0.6323 0.3309 0.2473 [1 per cell]
O: 0.6979 0.6321 0.9450 [1 per cell]
O: 0.7616 0.8522 0.6905 [1 per cell]
O: 0.8107 0.9226 0.4437 [1 per cell]
O: 0.8389 0.1791 0.4278 [1 per cell]
O: 0.8396 0.4635 0.6794 [1 per cell]
O: 0.9086 0.2415 0.7483 [1 per cell]
O: 0.9779 0.5943 0.4946 [1 per cell]
O: 0.9983 0.4063 0.1772 [1 per cell]

Entry 2:
This entry pairs a crystal structure of Li8MnFe7B8O24 with its computed X-ray powder pattern. Radiation: a wavelength of 1.5418 Å. Structure: DFT lattice parameters and positions (PBE+U).
Neutral-atom scattering factors, no anomalous dispersion.

Top 8 peaks for 10 to 90 degrees two-theta, by angle:
2θ/deg, d [Å], Rel. int., index
20.31, 4.372, 83, 0 1 2
20.70, 4.290, 22, 1 -1 0
22.27, 3.992, 38, 0 2 0
22.64, 3.928, 62, 1 0 2
33.67, 2.662, 100, 2 2 0
34.31, 2.614, 61, 1 -2 2
40.22, 2.242, 25, 1 -3 0
41.26, 2.188, 37, 0 2 -4

Crystal structure
Cell lengths 6.0125, 8.1890, 10.4606 Å; angles 89.91, 89.25, 77.12 degrees
Space group P1 (No. 1)
Inequivalent atoms, fractional coordinates:
Li: 0.0000 0.0000 0.0000 [1 per cell]
Li: 0.0005 0.0011 0.4977 [1 per cell]
Li: 0.0877 0.5612 0.6496 [1 per cell]
Li: 0.0888 0.5613 0.1505 [1 per cell]
Li: 0.4994 0.5026 0.7501 [1 per cell]
Li: 0.5006 0.4997 0.2499 [1 per cell]
Li: 0.5888 0.0602 0.4005 [1 per cell]
Li: 0.5886 0.0612 0.8995 [1 per cell]
Mn: 0.2293 0.8614 0.7388 [1 per cell]
Fe: 0.2297 0.8612 0.2370 [1 per cell]
Fe: 0.3594 0.2050 0.1591 [1 per cell]
Fe: 0.3594 0.2061 0.6599 [1 per cell]
Fe: 0.7290 0.3581 0.4913 [1 per cell]
Fe: 0.7309 0.3573 0.9879 [1 per cell]
Fe: 0.8580 0.7028 0.9142 [1 per cell]
Fe: 0.8600 0.7014 0.4069 [1 per cell]
B: 0.2104 0.3733 0.4108 [1 per cell]
B: 0.2102 0.3735 0.9099 [1 per cell]
B: 0.3760 0.6869 0.9915 [1 per cell]
B: 0.3790 0.6858 0.4882 [1 per cell]
B: 0.7085 0.8750 0.1606 [1 per cell]
B: 0.7127 0.8743 0.6602 [1 per cell]
B: 0.8764 0.1887 0.2383 [1 per cell]
B: 0.8765 0.1900 0.7385 [1 per cell]
O: 0.0299 0.4698 0.4818 [1 per cell]
O: 0.0304 0.4708 0.9811 [1 per cell]
O: 0.0556 0.0954 0.6659 [1 per cell]
O: 0.0578 0.0911 0.1679 [1 per cell]
O: 0.2026 0.8000 0.9309 [1 per cell]
O: 0.2066 0.8014 0.4284 [1 per cell]
O: 0.2232 0.3957 0.2795 [1 per cell]
O: 0.2227 0.3967 0.7795 [1 per cell]
O: 0.3660 0.6643 0.1232 [1 per cell]
O: 0.3677 0.6585 0.6189 [1 per cell]
O: 0.3806 0.2576 0.9712 [1 per cell]
O: 0.3830 0.2586 0.4716 [1 per cell]
O: 0.5298 0.9716 0.2319 [1 per cell]
O: 0.5323 0.9727 0.7316 [1 per cell]
O: 0.5560 0.5913 0.9201 [1 per cell]
O: 0.5599 0.5907 0.4159 [1 per cell]
O: 0.7038 0.3051 0.6786 [1 per cell]
O: 0.7050 0.3023 0.1759 [1 per cell]
O: 0.7207 0.8977 0.0295 [1 per cell]
O: 0.7255 0.8967 0.5300 [1 per cell]
O: 0.8635 0.1665 0.3688 [1 per cell]
O: 0.8655 0.1657 0.8695 [1 per cell]
O: 0.8804 0.7595 0.2215 [1 per cell]
O: 0.8828 0.7599 0.7230 [1 per cell]

Entry 3:
This entry pairs a crystal structure of Li2MnFeB2O6 with its computed X-ray powder pattern. Radiation: a wavelength of 1.5418 Å. Structure: DFT lattice parameters and positions (PBE+U).
Neutral-atom scattering factors, no anomalous dispersion.

Top 8 peaks for 10 to 90 degrees two-theta, by angle:
2θ/deg, d [Å], Rel. int., index
21.52, 4.129, 100, 1 0 3
30.92, 2.892, 17, 1 1 1
33.12, 2.705, 13, 3 0 -1
35.76, 2.511, 79, 1 1 3
37.71, 2.386, 21, 0 0 6
47.78, 1.904, 28, 3 1 3
52.93, 1.730, 17, 2 1 -6
54.59, 1.681, 12, 4 1 2

Crystal structure
Cell lengths 8.2623, 3.1625, 14.2992 Å; angles 90.00, 90.18, 90.00 degrees
Space group Pm (No. 6)
Inequivalent atoms, fractional coordinates:
Li: 0.0000 0.0000 0.0000 [1 per cell]
Li: 0.0252 0.0000 0.2917 [1 per cell]
Li: 0.0730 0.0000 0.6590 [1 per cell]
Li: 0.4984 0.0000 0.4988 [1 per cell]
Li: 0.5230 0.0000 0.7932 [1 per cell]
Li: 0.5731 0.0000 0.1590 [1 per cell]
Mn: 0.1737 0.5000 0.4698 [1 per cell]
Mn: 0.6729 0.5000 0.9696 [1 per cell]
Mn: 0.7310 0.5000 0.6441 [1 per cell]
Fe: 0.1898 0.5000 0.8336 [1 per cell]
Fe: 0.2297 0.5000 0.1457 [1 per cell]
Fe: 0.6896 0.5000 0.3329 [1 per cell]
B: 0.3629 0.0000 0.9839 [1 per cell]
B: 0.3662 0.5000 0.6512 [1 per cell]
B: 0.3666 0.0000 0.3154 [1 per cell]
B: 0.8634 0.0000 0.4819 [1 per cell]
B: 0.8677 0.0000 0.8166 [1 per cell]
B: 0.8678 0.5000 0.1501 [1 per cell]
O: 0.0064 0.5000 0.2058 [1 per cell]
O: 0.0165 0.0000 0.5235 [1 per cell]
O: 0.0186 0.0000 0.8601 [1 per cell]
O: 0.2124 0.5000 0.6918 [1 per cell]
O: 0.2273 0.0000 0.0413 [1 per cell]
O: 0.2275 0.0000 0.3696 [1 per cell]
O: 0.3462 0.0000 0.8870 [1 per cell]
O: 0.3545 0.0000 0.2185 [1 per cell]
O: 0.3823 0.5000 0.5543 [1 per cell]
O: 0.5027 0.5000 0.7083 [1 per cell]
O: 0.5173 0.0000 0.0242 [1 per cell]
O: 0.5182 0.0000 0.3582 [1 per cell]
O: 0.7150 0.5000 0.1917 [1 per cell]
O: 0.7262 0.0000 0.5381 [1 per cell]
O: 0.7275 0.0000 0.8699 [1 per cell]
O: 0.8476 0.0000 0.3850 [1 per cell]
O: 0.8570 0.0000 0.7198 [1 per cell]
O: 0.8821 0.5000 0.0534 [1 per cell]

Entry 4:
This entry pairs a crystal structure of Li2MnFeB2O6 with its computed X-ray powder pattern. Radiation: a wavelength of 1.5418 Å. Structure: DFT lattice parameters and positions (PBE+U).
Neutral-atom scattering factors, no anomalous dispersion.

Top 8 peaks for 10 to 90 degrees two-theta, by angle:
2θ/deg, d [Å], Rel. int., index
19.57, 4.537, 68, 1 0 0
21.36, 4.160, 37, 1 0 -2
21.62, 4.111, 64, 1 1 -2
25.64, 3.474, 45, 1 1 4
34.24, 2.619, 87, 2 1 0
34.44, 2.604, 100, 0 0 8
40.45, 2.230, 48, 0 2 2
48.65, 1.871, 35, 0 1 -10

Crystal structure
Cell lengths 5.2356, 5.2382, 20.8493 Å; angles 87.93, 89.12, 60.08 degrees
Space group P1 (No. 1)
Inequivalent atoms, fractional coordinates:
Li: 0.0000 0.0000 0.0000 [1 per cell]
Li: 0.9998 0.0010 0.4993 [1 per cell]
Li: 0.0105 0.3132 0.8736 [1 per cell]
Li: 0.0119 0.3175 0.3737 [1 per cell]
Li: 0.9634 0.3456 0.6260 [1 per cell]
Li: 0.9681 0.0129 0.2504 [1 per cell]
Li: 0.9740 0.0279 0.7501 [1 per cell]
Li: 0.9747 0.3390 0.1240 [1 per cell]
Mn: 0.3125 0.6698 0.6424 [1 per cell]
Mn: 0.3240 0.3331 0.5166 [1 per cell]
Mn: 0.3276 0.3341 0.0164 [1 per cell]
Mn: 0.6652 0.9864 0.3895 [1 per cell]
Fe: 0.3095 0.6716 0.1417 [1 per cell]
Fe: 0.6448 0.6814 0.7682 [1 per cell]
Fe: 0.6543 0.6610 0.2652 [1 per cell]
Fe: 0.6720 0.9788 0.8926 [1 per cell]
B: 0.3167 0.3357 0.2682 [1 per cell]
B: 0.3255 0.3397 0.7720 [1 per cell]
B: 0.3285 0.6564 0.8942 [1 per cell]
B: 0.3309 0.6604 0.3934 [1 per cell]
B: 0.6475 0.0066 0.6469 [1 per cell]
B: 0.6516 0.6681 0.5201 [1 per cell]
B: 0.6533 0.6674 0.0204 [1 per cell]
B: 0.6561 0.9997 0.1459 [1 per cell]
O: 0.0626 0.3169 0.2756 [1 per cell]
O: 0.0700 0.3264 0.7787 [1 per cell]
O: 0.0763 0.9307 0.9005 [1 per cell]
O: 0.0854 0.9365 0.4007 [1 per cell]
O: 0.3008 0.6017 0.2495 [1 per cell]
O: 0.3099 0.4093 0.4093 [1 per cell]
O: 0.3109 0.6045 0.7515 [1 per cell]
O: 0.3142 0.4015 0.9092 [1 per cell]
O: 0.3747 0.7024 0.5359 [1 per cell]
O: 0.3765 0.7015 0.0360 [1 per cell]
O: 0.3787 0.2443 0.6258 [1 per cell]
O: 0.3916 0.2460 0.1265 [1 per cell]
O: 0.5883 0.0849 0.2822 [1 per cell]
O: 0.5937 0.6382 0.8756 [1 per cell]
O: 0.5988 0.6298 0.3725 [1 per cell]
O: 0.6004 0.0897 0.7861 [1 per cell]
O: 0.6699 0.7338 0.6622 [1 per cell]
O: 0.6718 0.7283 0.1594 [1 per cell]
O: 0.6736 0.9107 0.4980 [1 per cell]
O: 0.6745 0.9107 0.9987 [1 per cell]
O: 0.8934 0.0372 0.6535 [1 per cell]
O: 0.9006 0.3933 0.5278 [1 per cell]
O: 0.9034 0.3926 0.0276 [1 per cell]
O: 0.9075 0.0240 0.1522 [1 per cell]

Entry 5:
This entry pairs a crystal structure of Li8Mn7FeB8O24 with its computed X-ray powder pattern. Radiation: a wavelength of 1.5418 Å. Structure: DFT lattice parameters and positions (PBE+U).
Neutral-atom scattering factors, no anomalous dispersion.

Top 8 peaks for 10 to 90 degrees two-theta, by angle:
2θ/deg, d [Å], Rel. int., index
19.51, 4.551, 42, 1 -1 0
21.29, 4.173, 24, -1 1 1
21.47, 4.139, 38, 1 1 2
25.47, 3.497, 29, 1 1 -1
26.24, 3.396, 18, 1 1 3
34.08, 2.631, 100, 0 0 4
34.16, 2.625, 20, 2 0 1
40.22, 2.242, 30, 0 4 1

Crystal structure
Cell lengths 5.2505, 9.1309, 11.6098 Å; angles 68.51, 77.71, 89.82 degrees
Space group P1 (No. 1)
Inequivalent atoms, fractional coordinates:
Li: 0.0000 0.0000 0.0000 [1 per cell]
Li: 0.0222 0.0395 0.2512 [1 per cell]
Li: 0.2646 0.2455 0.5010 [1 per cell]
Li: 0.3133 0.2767 0.7508 [1 per cell]
Li: 0.4990 0.5006 0.0007 [1 per cell]
Li: 0.5212 0.5412 0.2511 [1 per cell]
Li: 0.7648 0.7452 0.5003 [1 per cell]
Li: 0.8126 0.7766 0.7514 [1 per cell]
Mn: 0.0216 0.3458 0.9658 [1 per cell]
Mn: 0.2705 0.9288 0.4666 [1 per cell]
Mn: 0.3183 0.6303 0.7160 [1 per cell]
Mn: 0.5185 0.8444 0.9684 [1 per cell]
Mn: 0.5491 0.2201 0.2163 [1 per cell]
Mn: 0.7730 0.4313 0.4644 [1 per cell]
Mn: 0.8178 0.1302 0.7160 [1 per cell]
Fe: 0.0421 0.7204 0.2154 [1 per cell]
B: 0.0261 0.6796 0.9596 [1 per cell]
B: 0.0600 0.3944 0.2080 [1 per cell]
B: 0.2695 0.6002 0.4577 [1 per cell]
B: 0.3237 0.9708 0.7090 [1 per cell]
B: 0.5276 0.1796 0.9592 [1 per cell]
B: 0.5556 0.8897 0.2102 [1 per cell]
B: 0.7693 0.1000 0.4585 [1 per cell]
B: 0.8235 0.4707 0.7089 [1 per cell]
O: 0.0259 0.6322 0.4265 [1 per cell]
O: 0.0558 0.4352 0.7501 [1 per cell]
O: 0.1154 0.7898 0.0023 [1 per cell]
O: 0.1930 0.8606 0.6788 [1 per cell]
O: 0.1964 0.5737 0.9287 [1 per cell]
O: 0.2224 0.1151 0.6946 [1 per cell]
O: 0.2733 0.1751 0.9446 [1 per cell]
O: 0.3275 0.4148 0.1939 [1 per cell]
O: 0.3893 0.4704 0.4439 [1 per cell]
O: 0.3906 0.6999 0.5006 [1 per cell]
O: 0.3923 0.9916 0.2494 [1 per cell]
O: 0.4502 0.7705 0.1812 [1 per cell]
O: 0.5244 0.1310 0.4283 [1 per cell]
O: 0.5557 0.9352 0.7502 [1 per cell]
O: 0.6176 0.2909 0.0009 [1 per cell]
O: 0.6930 0.3606 0.6789 [1 per cell]
O: 0.6966 0.0727 0.9293 [1 per cell]
O: 0.7230 0.6153 0.6942 [1 per cell]
O: 0.7723 0.6753 0.9445 [1 per cell]
O: 0.8257 0.9085 0.1961 [1 per cell]
O: 0.8893 0.9706 0.4439 [1 per cell]
O: 0.8904 0.2007 0.5003 [1 per cell]
O: 0.8940 0.4952 0.2475 [1 per cell]
O: 0.9574 0.2731 0.1796 [1 per cell]

Entry 6:
This entry pairs a crystal structure of Li8Mn7FeB8O24 with its computed X-ray powder pattern. Radiation: a wavelength of 1.5418 Å. Structure: DFT lattice parameters and positions (PBE+U).
Neutral-atom scattering factors, no anomalous dispersion.

Top 8 peaks for 10 to 90 degrees two-theta, by angle:
2θ/deg, d [Å], Rel. int., index
20.43, 4.347, 77, 0 2 0
21.95, 4.049, 33, 0 2 2
22.63, 3.929, 59, 1 1 -1
33.12, 2.705, 100, 2 2 2
34.00, 2.637, 31, -1 1 3
34.39, 2.608, 25, 0 2 -2
39.90, 2.260, 25, -1 3 3
40.80, 2.212, 53, 0 0 4

Crystal structure
Cell lengths 6.0606, 9.7586, 9.9085 Å; angles 64.08, 78.77, 78.10 degrees
Space group P1 (No. 1)
Inequivalent atoms, fractional coordinates:
Li: 0.0000 0.0000 0.0000 [1 per cell]
Li: 0.0004 0.4996 0.4992 [1 per cell]
Li: 0.0925 0.4326 0.1301 [1 per cell]
Li: 0.0931 0.9330 0.6303 [1 per cell]
Li: 0.4998 0.9995 0.4980 [1 per cell]
Li: 0.5008 0.4991 0.9993 [1 per cell]
Li: 0.5929 0.4328 0.6304 [1 per cell]
Li: 0.5941 0.9341 0.1310 [1 per cell]
Mn: 0.2330 0.1722 0.6889 [1 per cell]
Mn: 0.2328 0.6731 0.1886 [1 per cell]
Mn: 0.3601 0.7607 0.4402 [1 per cell]
Mn: 0.3610 0.2591 0.9415 [1 per cell]
Mn: 0.7326 0.6731 0.6886 [1 per cell]
Mn: 0.8611 0.2596 0.4395 [1 per cell]
Mn: 0.8607 0.7602 0.9406 [1 per cell]
Fe: 0.7317 0.1764 0.1876 [1 per cell]
B: 0.2113 0.0990 0.2777 [1 per cell]
B: 0.2134 0.5989 0.7782 [1 per cell]
B: 0.3804 0.8338 0.8509 [1 per cell]
B: 0.3817 0.3331 0.3493 [1 per cell]
B: 0.7132 0.0991 0.7783 [1 per cell]
B: 0.7133 0.5988 0.2785 [1 per cell]
B: 0.8796 0.8358 0.3503 [1 per cell]
B: 0.8818 0.3323 0.8525 [1 per cell]
O: 0.0301 0.2197 0.2486 [1 per cell]
O: 0.0322 0.7194 0.7498 [1 per cell]
O: 0.0600 0.7142 0.3785 [1 per cell]
O: 0.0628 0.2125 0.8794 [1 per cell]
O: 0.2062 0.8316 0.9658 [1 per cell]
O: 0.2097 0.3301 0.4658 [1 per cell]
O: 0.2197 0.9831 0.4215 [1 per cell]
O: 0.2224 0.4822 0.9215 [1 per cell]
O: 0.3722 0.4509 0.2069 [1 per cell]
O: 0.3727 0.9501 0.7074 [1 per cell]
O: 0.3861 0.1011 0.1635 [1 per cell]
O: 0.3870 0.6015 0.6629 [1 per cell]
O: 0.5321 0.2198 0.7499 [1 per cell]
O: 0.5325 0.7196 0.2498 [1 per cell]
O: 0.5612 0.7128 0.8799 [1 per cell]
O: 0.5622 0.2120 0.3759 [1 per cell]
O: 0.7056 0.8314 0.4663 [1 per cell]
O: 0.7101 0.3279 0.9704 [1 per cell]
O: 0.7219 0.4819 0.4216 [1 per cell]
O: 0.7216 0.9826 0.9215 [1 per cell]
O: 0.8700 0.4494 0.7100 [1 per cell]
O: 0.8706 0.9538 0.2085 [1 per cell]
O: 0.8868 0.1019 0.6628 [1 per cell]
O: 0.8873 0.6014 0.1632 [1 per cell]